# 1
Structure and theoretical XRD peak list of BaSi7Ir3 (a structure optimized by DFT (PBE); Cu Ka).
Intensities are scaled so that the largest is 100.

Structural model:
```
data_BaSi7Ir3
_chemical_formula_sum 'Ba6 Si42 Ir18'
_cell_length_a 7.7925
_cell_length_b 7.7925
_cell_length_c 20.6117
_cell_angle_alpha 90.00
_cell_angle_beta 90.00
_cell_angle_gamma 120.00
_space_group_name_H-M_alt 'R -3 c'
_space_group_IT_number 167
_space_group_name_Hall '-R 3 2"c'
loop_
_atom_site_label
_atom_site_type_symbol
_atom_site_fract_x
_atom_site_fract_y
_atom_site_fract_z
_atom_site_occupancy
Ba1 Ba 0.0000 0.0000 0.0000 1
Si1 Si 0.0000 0.0000 0.2500 1
Si2 Si 0.0113 0.1990 0.1384 1
Ir1 Ir 0.0000 0.3149 0.2500 1
```

Top 10 peaks for 2θ from 5° to 70°, in order of rising 2θ:
| d [Å] | I_rel | h k l |
| --- | --- | --- |
| 3.435 | 12 | 0 0 6 |
| 3.389 | 100 | 1 1 3 |
| 2.577 | 35 | 1 1 6 |
| 2.249 | 36 | 3 0 0 |
| 1.974 | 34 | 1 1 9 |
| 1.882 | 21 | 0 3 6 |
| 1.874 | 27 | 2 2 3 |
| 1.440 | 17 | 4 1 3 |
| 1.365 | 18 | 3 0 12 |
| 1.354 | 10 | 1 4 6 |


# 2
Structure and theoretical XRD peak list of NdHfF7 (a structure optimized by DFT (PBE); Cu Ka).
Intensities are scaled so that the largest is 100.

Structural model:
```
data_NdHfF7
_chemical_formula_sum 'Nd2 Hf2 F14'
_cell_length_a 6.248
_cell_length_b 5.902
_cell_length_c 8.465
_cell_angle_alpha 90.00
_cell_angle_beta 102.63
_cell_angle_gamma 90.00
_space_group_name_H-M_alt 'P 1 21 1'
_space_group_IT_number 4
loop_
_space_group_symop_operation_xyz
'x,y,z'
'-x,y+1/2,-z'
loop_
_atom_site_label
_atom_site_type_symbol
_atom_site_fract_x
_atom_site_fract_y
_atom_site_fract_z
_atom_site_occupancy
Nd1 Nd 0.157 0.000 0.189 1
Hf1 Hf 0.312 0.008 0.724 1
F1 F 0.050 0.696 0.021 1
F2 F 0.074 0.775 0.709 1
F3 F 0.097 0.266 0.707 1
F4 F 0.268 0.002 0.483 1
F5 F 0.356 0.016 0.966 1
F6 F 0.447 0.275 0.255 1
F7 F 0.454 0.745 0.267 1
```

Top 10 peaks for 2θ from 5° to 70°, in order of rising 2θ:
| d [Å] | I_rel | h k l |
| --- | --- | --- |
| 4.241 | 100 | 1 1 0 |
| 4.130 | 39 | 0 0 2 |
| 4.030 | 15 | 1 1 -1 |
| 3.559 | 16 | 1 1 1 |
| 3.213 | 30 | 1 1 -2 |
| 2.951 | 14 | 0 2 0 |
| 2.757 | 16 | 2 0 -2 |
| 2.133 | 15 | 2 2 -1 |
| 1.981 | 16 | 2 2 1 |
| 1.963 | 14 | 3 1 -1 |


# 3
Structure and theoretical XRD peak list of PaAlTcRu (a structure optimized by DFT (PBE); Cu Ka).
Intensities are scaled so that the largest is 100.

Structural model:
```
data_PaAlTcRu
_chemical_formula_sum 'Pa1 Al1 Tc1 Ru1'
_cell_length_a 3.516
_cell_length_b 4.397
_cell_length_c 4.407
_cell_angle_alpha 90.00
_cell_angle_beta 90.00
_cell_angle_gamma 90.00
_space_group_name_H-M_alt 'P m m m'
_space_group_IT_number 47
loop_
_space_group_symop_operation_xyz
'x,y,z'
'-x,-y,-z'
'-x,-y,z'
'x,y,-z'
'x,-y,-z'
'-x,y,z'
'-x,y,-z'
'x,-y,z'
loop_
_atom_site_label
_atom_site_type_symbol
_atom_site_fract_x
_atom_site_fract_y
_atom_site_fract_z
_atom_site_occupancy
Pa1 Pa 0.000 0.000 0.000 1
Al1 Al 0.000 0.500 0.500 1
Tc1 Tc 0.500 0.500 0.000 1
Ru1 Ru 0.500 0.000 0.500 1
```

Top 10 peaks for 2θ from 5° to 70°, in order of rising 2θ:
| d [Å] | I_rel | h k l |
| --- | --- | --- |
| 4.402 | 47 | 0 1 0 |
| 2.747 | 30 | 1 0 1 |
| 2.331 | 100 | 1 1 1 |
| 2.201 | 42 | 0 2 0 |
| 1.969 | 12 | 0 1 2 |
| 1.758 | 11 | 2 0 0 |
| 1.718 | 16 | 1 2 1 |
| 1.633 | 7 | 2 1 0 |
| 1.556 | 14 | 0 2 2 |
| 1.374 | 19 | 2 2 0 |


# 4
Structure and theoretical XRD peak list of La3NiC2N6 (a structure optimized by DFT (PBE); Cu Ka).
Intensities are scaled so that the largest is 100.

Structural model:
```
data_La3NiC2N6
_chemical_formula_sum 'La3 Ni1 C2 N6'
_cell_length_a 5.3768
_cell_length_b 5.3768
_cell_length_c 6.4435
_cell_angle_alpha 90.00
_cell_angle_beta 90.00
_cell_angle_gamma 120.00
_space_group_name_H-M_alt 'P -3 m 1'
_space_group_IT_number 164
_space_group_name_Hall '-P 3 2"'
loop_
_atom_site_label
_atom_site_type_symbol
_atom_site_fract_x
_atom_site_fract_y
_atom_site_fract_z
_atom_site_occupancy
La1 La 0.0000 0.0000 0.0000 1
La2 La 0.3333 0.6667 0.6649 1
Ni1 Ni 0.0000 0.0000 0.5000 1
C1 C 0.3333 0.6667 0.2637 1
N1 N 0.1857 0.3714 0.2738 1
```

Top 10 peaks for 2θ from 5° to 70°, in order of rising 2θ:
| d [Å] | I_rel | h k l |
| --- | --- | --- |
| 3.774 | 91 | 1 0 1 |
| 2.688 | 100 | 1 1 0 |
| 2.649 | 98 | 0 1 2 |
| 2.190 | 41 | 0 2 1 |
| 1.887 | 45 | 2 0 2 |
| 1.698 | 24 | 2 1 1 |
| 1.678 | 25 | 1 1 3 |
| 1.552 | 18 | 3 0 0 |
| 1.545 | 34 | 1 2 2 |
| 1.522 | 16 | 1 0 4 |


# 5
Structure and theoretical XRD peak list of V2Mo7W3 (a structure optimized by DFT (PBE); Cu Ka).
Intensities are scaled so that the largest is 100.

Structural model:
```
data_V2Mo7W3
_chemical_formula_sum 'V4 Mo14 W6'
_cell_length_a 4.375
_cell_length_b 21.331
_cell_length_c 4.418
_cell_angle_alpha 90.00
_cell_angle_beta 90.00
_cell_angle_gamma 90.00
_space_group_name_H-M_alt 'C m m m'
_space_group_IT_number 65
_space_group_name_Hall '-C 2 2'
loop_
_atom_site_label
_atom_site_type_symbol
_atom_site_fract_x
_atom_site_fract_y
_atom_site_fract_z
_atom_site_occupancy
V1 V 0.000 0.146 0.000 1
Mo1 Mo 0.000 0.000 0.000 1
Mo2 Mo 0.000 0.075 0.500 1
Mo3 Mo 0.000 0.284 0.000 1
Mo4 Mo 0.000 0.425 0.000 1
W1 W 0.000 0.351 0.500 1
W2 W 0.000 0.500 0.500 1
```

Top 10 peaks for 2θ from 5° to 70°, in order of rising 2θ:
| d [Å] | I_rel | h k l |
| --- | --- | --- |
| 10.665 | 26 | 0 2 0 |
| 4.286 | 13 | 1 1 0 |
| 3.726 | 10 | 1 3 0 |
| 2.770 | 7 | 0 6 1 |
| 2.512 | 12 | 1 5 1 |
| 2.209 | 27 | 0 0 2 |
| 2.188 | 26 | 2 0 0 |
| 2.176 | 100 | 1 7 1 |
| 1.554 | 17 | 2 0 2 |
| 1.524 | 7 | 0 14 0 |


# 6
Structure and theoretical XRD peak list of KS (a structure optimized by DFT (PBE); Cu Ka).
Intensities are scaled so that the largest is 100.

Structural model:
```
data_KS
_chemical_formula_sum 'K8 S8'
_cell_length_a 6.422
_cell_length_b 6.523
_cell_length_c 11.222
_cell_angle_alpha 90.00
_cell_angle_beta 90.00
_cell_angle_gamma 90.00
_space_group_name_H-M_alt 'P b c a'
_space_group_IT_number 61
loop_
_space_group_symop_operation_xyz
'x,y,z'
'-x,-y,-z'
'-x+1/2,-y,z+1/2'
'x+1/2,y,-z+1/2'
'x+1/2,-y+1/2,-z'
'-x+1/2,y+1/2,z'
'-x,y+1/2,-z+1/2'
'x,-y+1/2,z+1/2'
loop_
_atom_site_label
_atom_site_type_symbol
_atom_site_fract_x
_atom_site_fract_y
_atom_site_fract_z
_atom_site_occupancy
K1 K 0.048 0.104 0.133 1
S1 S 0.041 0.077 0.420 1
```

Top 10 peaks for 2θ from 5° to 70°, in order of rising 2θ:
| d [Å] | I_rel | h k l |
| --- | --- | --- |
| 3.211 | 100 | 2 0 0 |
| 3.132 | 85 | 0 2 1 |
| 2.896 | 53 | 1 1 3 |
| 2.805 | 51 | 0 0 4 |
| 2.790 | 33 | 2 1 1 |
| 2.458 | 58 | 0 2 3 |
| 2.242 | 43 | 2 2 1 |
| 2.113 | 28 | 2 0 4 |
| 1.952 | 39 | 2 2 3 |
| 1.513 | 25 | 1 1 7 |


# 7
Structure and theoretical XRD peak list of YPb2W (a structure optimized by DFT (PBE); Cu Ka).
Intensities are scaled so that the largest is 100.

Structural model:
```
data_YPb2W
_chemical_formula_sum 'Y2 Pb4 W2'
_cell_length_a 12.913
_cell_length_b 3.200
_cell_length_c 5.133
_cell_angle_alpha 90.00
_cell_angle_beta 107.22
_cell_angle_gamma 90.00
_space_group_name_H-M_alt 'C 1 m 1'
_space_group_IT_number 8
loop_
_space_group_symop_operation_xyz
'x,y,z'
'x,-y,z'
'x+1/2,y+1/2,z'
'x+1/2,-y+1/2,z'
loop_
_atom_site_label
_atom_site_type_symbol
_atom_site_fract_x
_atom_site_fract_y
_atom_site_fract_z
_atom_site_occupancy
Y1 Y 0.000 0.000 0.000 1
Pb1 Pb 0.084 0.500 0.564 1
Pb2 Pb 0.298 0.500 0.355 1
W1 W 0.288 0.000 0.863 1
```

Top 10 peaks for 2θ from 5° to 70°, in order of rising 2θ:
| d [Å] | I_rel | h k l |
| --- | --- | --- |
| 6.167 | 19 | 2 0 0 |
| 3.084 | 58 | 4 0 0 |
| 3.048 | 15 | 4 0 -1 |
| 2.552 | 43 | 2 0 -2 |
| 2.535 | 100 | 1 1 1 |
| 2.432 | 76 | 3 1 -1 |
| 2.077 | 22 | 2 0 2 |
| 1.982 | 14 | 5 1 -1 |
| 1.684 | 15 | 5 1 1 |
| 1.492 | 21 | 1 1 -3 |


# 8
Structure and theoretical XRD peak list of KMnBr2Cl (a structure optimized by DFT (PBE); Cu Ka).
Intensities are scaled so that the largest is 100.

Structural model:
```
data_KMnBr2Cl
_chemical_formula_sum 'K4 Mn4 Br8 Cl4'
_cell_length_a 7.209
_cell_length_b 7.209
_cell_length_c 11.402
_cell_angle_alpha 90.00
_cell_angle_beta 90.00
_cell_angle_gamma 90.00
_space_group_name_H-M_alt 'I 4 c m'
_space_group_IT_number 108
_space_group_name_Hall 'I 4 -2c'
loop_
_atom_site_label
_atom_site_type_symbol
_atom_site_fract_x
_atom_site_fract_y
_atom_site_fract_z
_atom_site_occupancy
K1 K 0.000 0.500 0.000 1
Mn1 Mn 0.000 0.000 0.286 1
Br1 Br 0.190 0.310 0.245 1
Cl1 Cl 0.000 0.000 0.493 1
```

Top 10 peaks for 2θ from 5° to 70°, in order of rising 2θ:
| d [Å] | I_rel | h k l |
| --- | --- | --- |
| 5.701 | 94 | 0 0 2 |
| 3.102 | 100 | 2 1 1 |
| 3.047 | 99 | 2 0 2 |
| 2.850 | 69 | 0 0 4 |
| 2.549 | 64 | 2 2 0 |
| 2.459 | 52 | 2 1 3 |
| 2.117 | 38 | 3 1 2 |
| 1.900 | 44 | 2 2 4 |
| 1.728 | 37 | 4 1 1 |
| 1.588 | 28 | 4 1 3 |